[1]
The following is a simulated X-ray diffraction stick pattern of SiO. It was derived from the PBE geometry in the Materials Project, using λ = 1.5418 Å (Cu Kα).

Peak list (10 most intense, 10° ≤ 2θ ≤ 80°, sorted by position)
2theta, Rel. int., h k l
22.65, 9, 1 0 0
29.43, 100, 1 0 2
39.77, 8, 1 1 0
40.92, 12, 1 1 1
46.25, 10, 2 0 0
54.93, 10, 2 0 3
55.89, 16, 1 1 4
63.65, 8, 1 1 5
65.91, 16, 2 1 2
77.06, 6, 2 0 6

Crystal structure
Cell: 4.5330 4.5330 9.5663 Å, 90.00 90.00 120.00°
Space group P6_422 (No. 181)
Unique sites:
Si: 0.0000 0.5000 0.0593
O: 0.1688 0.3375 0.5000



[2]
The following is a simulated X-ray diffraction stick pattern of SrGa2S4. It was derived from the PBE geometry in the Materials Project, using λ = 1.5418 Å (Cu Kα).

Peak list (10 most intense, 10° ≤ 2θ ≤ 80°, sorted by position)
2theta, Rel. int., h k l
16.70, 38, 0 0 4
23.71, 100, 2 2 4
23.98, 27, 0 4 4
29.60, 49, 2 6 0
30.82, 23, 2 6 2
33.77, 39, 0 0 8
37.92, 86, 4 4 4
38.63, 16, 0 8 4
45.51, 29, 2 6 8
58.01, 16, 4 8 8

Crystal structure
Cell: 12.344 20.755 21.237 Å, 90.00 90.00 90.00°
Space group Fddd (No. 70, origin choice 2)
Unique sites:
Sr: 0.125 0.125 0.125
Sr: 0.125 0.125 0.373
Sr: 0.125 0.125 0.625
Ga: 0.086 0.304 0.250
Ga: 0.123 0.263 0.750
S: 0.001 0.000 0.582
S: 0.001 0.000 0.918
S: 0.006 0.345 0.499
S: 0.016 0.077 0.751



[3]
The following is a simulated X-ray diffraction stick pattern of CuRh2S4. It was derived from the PBE geometry in the Materials Project, using λ = 1.5418 Å (Cu Kα).

Peak list (10 most intense, 10° ≤ 2θ ≤ 80°, sorted by position)
2theta, Rel. int., h k l
15.53, 36, 1 1 1
25.50, 17, 2 2 0
29.99, 100, 3 1 1
36.37, 47, 4 0 0
47.83, 44, 5 1 1
52.38, 71, 4 4 0
61.54, 12, 5 3 3
65.44, 10, 4 4 4
73.63, 19, 5 5 3
77.23, 10, 8 0 0

Crystal structure
Cell: 9.882 9.882 9.882 Å, 90.00 90.00 90.00°
Space group Fd-3m (No. 227, origin choice 2)
Unique sites:
Cu: 0.125 0.125 0.125
Rh: 0.000 0.000 0.500
S: 0.009 0.009 0.741



[4]
The following is a simulated X-ray diffraction stick pattern of MgScMnS4. It was derived from the PBE geometry in the Materials Project, using λ = 1.5418 Å (Cu Kα).

Peak list (10 most intense, 10° ≤ 2θ ≤ 80°, sorted by position)
2theta, Rel. int., h k l
14.58, 89, 0 1 1
28.00, 68, 2 1 1
28.46, 34, 0 1 3
33.85, 100, 2 2 0
34.63, 46, 0 0 4
44.43, 27, 2 3 1
45.41, 19, 0 1 5
48.47, 24, 0 4 0
48.79, 25, 4 0 0
49.21, 94, 2 2 4

Crystal structure
Cell: 7.467 7.513 10.362 Å, 90.00 90.00 90.00°
Space group Imma (No. 74)
Unique sites:
Mg: 0.000 0.250 0.125
Sc: 0.000 0.000 0.500
Mn: 0.250 0.250 0.750
S: 0.000 0.027 0.748
S: 0.236 0.250 0.516



[5]
The following is a simulated X-ray diffraction stick pattern of NaHoTl2. It was derived from the PBE geometry in the Materials Project, using λ = 1.5418 Å (Cu Kα).

Peak list (10 most intense, 10° ≤ 2θ ≤ 80°, sorted by position)
2theta, Rel. int., h k l
20.34, 13, 1 1 1
23.53, 16, 2 0 0
33.51, 100, 2 2 0
39.52, 7, 3 1 1
41.35, 5, 2 2 2
48.12, 18, 4 0 0
54.24, 7, 4 2 0
59.91, 38, 4 2 2
70.42, 12, 4 4 0
75.41, 3, 6 0 0

Crystal structure
Cell: 7.563 7.563 7.563 Å, 90.00 90.00 90.00°
Space group Fm-3m (No. 225)
Unique sites:
Na: 0.000 0.000 0.000
Ho: 0.000 0.000 0.500
Tl: 0.250 0.250 0.250



[6]
The following is a simulated X-ray diffraction stick pattern of K3DyF6. It was derived from the PBE geometry in the Materials Project, using λ = 1.5418 Å (Cu Kα).

Peak list (10 most intense, 10° ≤ 2θ ≤ 80°, sorted by position)
2theta, Rel. int., h k l
16.48, 52, 0 1 1
16.84, 45, 1 0 -2
19.22, 41, 1 1 -1
26.87, 25, 0 2 0
27.40, 100, 1 1 1
27.75, 21, 2 0 -2
32.43, 24, 1 0 -4
39.01, 31, 2 2 -2
47.78, 21, 1 3 1
48.82, 24, 3 1 -1

Crystal structure
Cell: 6.429 6.636 11.191 Å, 90.00 124.89 90.00°
Space group P2_1/c (No. 14)
Unique sites:
K: 0.000 0.000 0.000
K: 0.233 0.049 0.746
Dy: 0.500 0.000 0.500
F: 0.172 0.173 0.451
F: 0.267 0.727 0.434
F: 0.385 0.053 0.276



[7]
The following is a simulated X-ray diffraction stick pattern of Cu2O3. It was derived from the PBE geometry in the Materials Project, using λ = 1.5418 Å (Cu Kα).

Peak list (10 most intense, 10° ≤ 2θ ≤ 80°, sorted by position)
2theta, Rel. int., h k l
19.84, 38, 0 1 1
32.86, 100, 1 2 0
34.01, 26, 2 0 -2
35.48, 36, 1 2 -2
37.33, 17, 2 1 -1
40.11, 22, 1 1 -3
51.46, 14, 0 4 0
58.44, 12, 3 2 -2
63.13, 13, 2 4 -2
63.48, 15, 3 2 -4

Crystal structure
Cell: 5.344 7.103 7.242 Å, 90.00 127.30 90.00°
Space group P2_1/c (No. 14)
Unique sites:
Cu: 0.007 0.244 0.264
Cu: 0.379 0.513 0.637
O: 0.012 0.181 0.016
O: 0.219 0.006 0.812
O: 0.497 0.077 0.559